The following is a theoretical powder diffraction line list of CdGaAg2F6. It was derived from a crystal structure in Alexandria, relaxed with GGA-PBE, using a wavelength of 1.5418 Å.
Peak positions follow from Bragg's law for the DFT cell and can differ from measured ones.

Structural model:
Lattice parameters (Å, degrees): 6.4465 5.5810 9.9178 90.00 127.26 90.00
Positions (direct):
Cd1 0.0000 0.0000 0.0000
Cd2 0.0000 0.5000 0.5000
Ga1 0.5000 0.0000 0.5000
Ga2 0.5000 0.5000 0.0000
Ag1 0.1812 0.9998 0.6915
Ag2 0.1812 0.5002 0.1915
Ag3 0.8188 0.0002 0.3085
Ag4 0.8188 0.4998 0.8085
F1 0.2402 0.2452 0.4291
F2 0.2402 0.2548 0.9291
F3 0.2404 0.7451 0.9299
F4 0.2404 0.7549 0.4299
F5 0.4050 0.5011 0.7719
F6 0.4050 0.9989 0.2719
F7 0.5950 0.0011 0.7281
F8 0.5950 0.4989 0.2281
F9 0.7596 0.2451 0.5701
F10 0.7596 0.2549 0.0701
F11 0.7598 0.7452 0.0709
F12 0.7598 0.7548 0.5709

The 12 most intense peaks (2θ = 10–90°), in order of rising 2θ:
17.28 deg, I = 20.9; 27.72 deg, I = 72.7; 30.45 deg, I = 100.0; 31.61 deg, I = 94.5; 32.08 deg, I = 57.1; 37.80 deg, I = 34.4; 42.90 deg, I = 77.1; 46.29 deg, I = 23.6; 49.99 deg, I = 28.8; 52.29 deg, I = 31.7; 57.22 deg, I = 20.0; 67.12 deg, I = 24.0